1.
Computed powder diffraction line list
Compound: Cs2CuSBr6
Radiation: Cu Kα
Structure: DFT lattice parameters and positions (GGA-PBE)
No peak broadening, texture or thermal motion is included.

Top 6 peaks for 15° ≤ 2θ ≤ 90°, in order of falling intensity:
d/Å, 2theta, Rel. int.
3.193, 27.94, 1000
2.832, 31.59, 319
2.897, 30.87, 286
2.596, 34.55, 276
1.914, 47.51, 197
1.933, 47.00, 179

```
Cs2CuSBr6
1.0
0.000 5.665 5.793
5.192 0.000 5.793
5.192 5.665 0.000
Cs Cu S Br
2 1 1 6
Direct
0.250 0.250 0.250
0.750 0.750 0.750
0.000 0.000 0.000
0.500 0.500 0.500
0.201 0.201 0.799
0.254 0.746 0.746
0.279 0.721 0.279
0.721 0.279 0.721
0.746 0.254 0.254
0.799 0.799 0.201
```

---

2.
Computed powder diffraction line list
Compound: BaNaNpS4
Radiation: Cu Kα
Structure: DFT lattice parameters and positions (GGA-PBE)
No peak broadening, texture or thermal motion is included.

Top 6 peaks for 15° ≤ 2θ ≤ 90°, in order of falling intensity:
d/Å, 2theta, Rel. int.
3.632, 24.51, 1000
3.655, 24.36, 833
4.897, 18.12, 755
2.584, 34.71, 607
2.635, 34.03, 510
2.105, 42.96, 480

```
BaNaNpS4
1.0
-2.584 2.584 7.656
2.584 -2.584 7.656
2.584 2.584 -7.656
Ba Na Np S
1 1 1 4
Direct
0.000 0.000 0.000
0.281 0.281 0.000
0.639 0.639 0.000
0.137 0.637 0.500
0.471 0.471 0.000
0.637 0.137 0.500
0.801 0.801 0.000
```

---

3.
Computed powder diffraction line list
Compound: Ce2P2O
Radiation: Cu Kα
Structure: DFT lattice parameters and positions (GGA-PBE)
No peak broadening, texture or thermal motion is included.

Top 6 peaks for 15° ≤ 2θ ≤ 90°, in order of falling intensity:
d/Å, 2theta, Rel. int.
3.146, 28.37, 1000
3.252, 27.43, 614
2.324, 38.74, 497
2.596, 34.55, 496
3.424, 26.02, 413
3.124, 28.58, 332

```
Ce2P2O
1.0
2.047 -7.376 0.000
2.047 7.376 0.000
0.000 0.000 6.896
Ce P O
4 4 2
Direct
0.038 0.962 0.500
0.326 0.674 0.358
0.674 0.326 0.858
0.962 0.038 0.000
0.321 0.679 0.922
0.438 0.562 0.707
0.562 0.438 0.207
0.679 0.321 0.422
0.103 0.897 0.817
0.897 0.103 0.317
```

---

4.
Computed powder diffraction line list
Compound: CePaMn2
Radiation: Cu Kα
Structure: DFT lattice parameters and positions (GGA-PBE)
No peak broadening, texture or thermal motion is included.

Top 6 peaks for 15° ≤ 2θ ≤ 90°, in order of falling intensity:
d/Å, 2theta, Rel. int.
2.621, 34.21, 1000
3.294, 27.07, 674
2.118, 42.70, 660
1.615, 57.02, 305
1.647, 55.81, 246
4.995, 17.76, 224

```
CePaMn2
1.0
2.118 1.223 4.995
-2.118 1.223 4.995
0.000 -2.445 4.995
Ce Pa Mn
1 1 2
Direct
0.000 0.000 0.000
0.500 0.500 0.500
0.213 0.213 0.213
0.787 0.787 0.787
```

---

5.
Computed powder diffraction line list
Compound: Dy5TmTl2In
Radiation: Cu Kα
Structure: DFT lattice parameters and positions (GGA-PBE)
No peak broadening, texture or thermal motion is included.

Top 6 peaks for 15° ≤ 2θ ≤ 90°, in order of falling intensity:
d/Å, 2theta, Rel. int.
2.911, 30.71, 1000
2.998, 29.80, 547
2.767, 32.36, 374
2.472, 36.35, 292
1.624, 56.69, 219
2.179, 41.43, 202

```
Dy5TmTl2In
1.0
-3.913 3.913 8.717
3.913 -3.913 8.717
3.913 3.913 -8.717
Dy Tm Tl In
10 2 4 2
Direct
0.000 0.000 0.000
0.076 0.576 0.925
0.151 0.076 0.500
0.349 0.849 0.925
0.424 0.349 0.500
0.500 0.500 0.000
0.576 0.651 0.500
0.651 0.151 0.075
0.849 0.924 0.500
0.924 0.424 0.075
0.250 0.750 0.500
0.750 0.250 0.500
0.125 0.375 0.500
0.375 0.875 0.250
0.625 0.125 0.750
0.875 0.625 0.500
0.250 0.250 0.000
0.750 0.750 0.000
```

---

6.
Computed powder diffraction line list
Compound: SmHgBr3
Radiation: Cu Kα
Structure: DFT lattice parameters and positions (GGA-PBE)
No peak broadening, texture or thermal motion is included.

Top 6 peaks for 15° ≤ 2θ ≤ 90°, in order of falling intensity:
d/Å, 2theta, Rel. int.
3.009, 29.69, 1000
2.107, 42.92, 372
4.934, 17.98, 370
3.497, 25.47, 327
2.149, 42.05, 318
3.722, 23.91, 237

```
SmHgBr3
1.0
3.722 2.149 10.223
-3.722 2.149 10.223
0.000 -4.298 10.223
Sm Hg Br
2 2 6
Direct
0.167 0.167 0.167
0.833 0.833 0.833
0.339 0.339 0.339
0.661 0.661 0.661
0.076 0.446 0.817
0.183 0.924 0.554
0.446 0.817 0.076
0.554 0.183 0.924
0.817 0.076 0.446
0.924 0.554 0.183
```

---

7.
Computed powder diffraction line list
Compound: Li2AcInPb2
Radiation: Cu Kα
Structure: DFT lattice parameters and positions (GGA-PBE)
No peak broadening, texture or thermal motion is included.

Top 6 peaks for 15° ≤ 2θ ≤ 90°, in order of falling intensity:
d/Å, 2theta, Rel. int.
4.152, 21.40, 1000
3.417, 26.08, 833
2.514, 35.72, 813
2.329, 38.66, 620
2.702, 33.16, 455
1.484, 62.58, 294

```
Li2AcInPb2
1.0
2.514 1.451 9.188
-2.514 1.451 9.188
0.000 -2.903 9.188
Li Ac In Pb
2 1 1 2
Direct
0.239 0.239 0.239
0.761 0.761 0.761
0.000 0.000 0.000
0.500 0.500 0.500
0.398 0.398 0.398
0.602 0.602 0.602
```

---

8.
Computed powder diffraction line list
Compound: TbNd2Ag2Ge2
Radiation: Cu Kα
Structure: DFT lattice parameters and positions (GGA-PBE)
No peak broadening, texture or thermal motion is included.

Top 6 peaks for 15° ≤ 2θ ≤ 90°, in order of falling intensity:
d/Å, 2theta, Rel. int.
2.646, 33.88, 1000
2.282, 39.49, 894
2.836, 31.55, 487
1.460, 63.75, 289
1.728, 52.99, 276
1.378, 68.05, 257

```
TbNd2Ag2Ge2
1.0
2.282 1.318 9.498
-2.282 1.318 9.498
0.000 -2.635 9.498
Tb Nd Ag Ge
1 2 2 2
Direct
0.000 0.000 0.000
0.125 0.125 0.125
0.875 0.875 0.875
0.392 0.392 0.392
0.608 0.608 0.608
0.265 0.265 0.265
0.735 0.735 0.735
```

---

9.
Computed powder diffraction line list
Compound: K4Ge3Br10
Radiation: Cu Kα
Structure: DFT lattice parameters and positions (GGA-PBE)
No peak broadening, texture or thermal motion is included.

Top 6 peaks for 15° ≤ 2θ ≤ 90°, in order of falling intensity:
d/Å, 2theta, Rel. int.
2.775, 32.26, 1000
1.960, 46.32, 955
3.048, 29.30, 506
5.494, 16.13, 449
2.765, 32.38, 424
3.353, 26.58, 408

```
K4Ge3Br10
1.0
-2.775 2.775 19.357
2.775 -2.775 19.357
2.775 2.775 -19.357
K Ge Br
4 3 10
Direct
0.066 0.066 0.000
0.198 0.198 0.000
0.802 0.802 0.000
0.934 0.934 0.000
0.353 0.353 0.000
0.500 0.500 0.000
0.647 0.647 0.000
0.000 0.500 0.500
0.144 0.644 0.500
0.284 0.284 0.000
0.356 0.856 0.500
0.429 0.429 0.000
0.500 0.000 0.500
0.571 0.571 0.000
0.644 0.144 0.500
0.716 0.716 0.000
0.856 0.356 0.500
```

---

10.
Computed powder diffraction line list
Compound: CsCaGaAs2
Radiation: Cu Kα
Structure: DFT lattice parameters and positions (GGA-PBE)
No peak broadening, texture or thermal motion is included.

Top 6 peaks for 15° ≤ 2θ ≤ 90°, in order of falling intensity:
d/Å, 2theta, Rel. int.
3.537, 25.18, 1000
3.763, 23.65, 404
2.126, 42.52, 244
2.921, 30.61, 185
2.618, 34.25, 172
2.004, 45.26, 159

```
CsCaGaAs2
1.0
3.763 -7.789 0.000
3.763 7.789 0.000
0.000 0.000 6.302
Cs Ca Ga As
2 2 2 4
Direct
0.250 0.750 0.768
0.750 0.250 0.232
0.250 0.250 0.500
0.750 0.750 0.500
0.000 0.000 0.000
0.500 0.500 0.000
0.108 0.892 0.251
0.392 0.608 0.251
0.608 0.392 0.749
0.892 0.108 0.749
```

---

11.
Computed powder diffraction line list
Compound: TaCuO4
Radiation: Cu Kα
Structure: DFT lattice parameters and positions (GGA-PBE)
No peak broadening, texture or thermal motion is included.

Top 6 peaks for 15° ≤ 2θ ≤ 90°, in order of falling intensity:
d/Å, 2theta, Rel. int.
2.925, 30.57, 1000
3.600, 24.73, 451
1.694, 54.14, 244
5.016, 17.68, 239
2.447, 36.73, 235
2.058, 44.00, 179

```
TaCuO4
1.0
5.016 0.000 0.000
0.000 4.695 0.000
0.000 0.000 5.606
Ta Cu O
2 2 8
Direct
0.000 0.000 0.000
0.000 0.500 0.500
0.500 0.000 0.664
0.500 0.500 0.164
0.163 0.224 0.705
0.163 0.276 0.205
0.323 0.730 0.425
0.323 0.770 0.925
0.677 0.230 0.925
0.677 0.270 0.425
0.837 0.724 0.205
0.837 0.776 0.705
```

---

12.
Computed powder diffraction line list
Compound: NbInHg2
Radiation: Cu Kα
Structure: DFT lattice parameters and positions (GGA-PBE)
No peak broadening, texture or thermal motion is included.

Top 6 peaks for 15° ≤ 2θ ≤ 90°, in order of falling intensity:
d/Å, 2theta, Rel. int.
2.769, 32.34, 1000
2.629, 34.10, 952
1.907, 47.70, 747
1.958, 46.38, 368
1.136, 85.43, 262
1.366, 68.72, 252

```
NbInHg2
1.0
-3.915 3.915 2.988
3.915 -3.915 2.988
3.915 3.915 -2.988
Nb In Hg
2 2 4
Direct
0.000 0.000 0.000
0.750 0.250 0.500
0.250 0.750 0.500
0.500 0.500 0.000
0.121 0.625 0.996
0.375 0.371 0.496
0.629 0.125 0.004
0.875 0.879 0.504
```

---

13.
Computed powder diffraction line list
Compound: CoRuCl3
Radiation: Cu Kα
Structure: DFT lattice parameters and positions (GGA-PBE)
No peak broadening, texture or thermal motion is included.

Top 6 peaks for 15° ≤ 2θ ≤ 90°, in order of falling intensity:
d/Å, 2theta, Rel. int.
2.043, 44.34, 1000
3.252, 27.43, 727
4.451, 19.95, 633
1.763, 51.88, 548
3.053, 29.25, 521
2.669, 33.58, 485

```
CoRuCl3
1.0
3.053 1.763 5.498
-3.053 1.763 5.498
0.000 -3.525 5.498
Co Ru Cl
2 2 6
Direct
0.000 0.000 0.000
0.500 0.500 0.500
0.194 0.194 0.194
0.694 0.694 0.694
0.101 0.415 0.787
0.287 0.915 0.601
0.415 0.787 0.101
0.601 0.287 0.915
0.787 0.101 0.415
0.915 0.601 0.287
```

---

14.
Computed powder diffraction line list
Compound: Ac3Al4Ge4
Radiation: Cu Kα
Structure: DFT lattice parameters and positions (GGA-PBE)
No peak broadening, texture or thermal motion is included.

Top 6 peaks for 15° ≤ 2θ ≤ 90°, in order of falling intensity:
d/Å, 2theta, Rel. int.
2.847, 31.42, 1000
2.833, 31.58, 912
2.977, 30.02, 756
2.948, 30.32, 739
2.161, 41.79, 655
3.037, 29.41, 587

```
Ac3Al4Ge4
1.0
4.314 0.000 0.000
0.007 4.515 0.000
2.141 2.121 13.736
Ac Al Ge
3 4 4
Direct
0.000 0.000 0.000
0.356 0.864 0.289
0.644 0.136 0.711
0.096 0.587 0.806
0.250 0.244 0.502
0.750 0.756 0.498
0.904 0.413 0.194
0.194 0.690 0.612
0.451 0.451 0.099
0.549 0.549 0.901
0.806 0.310 0.388
```